Structure and theoretical XRD peak list of LaAlNi4 (a crystal structure in the Materials Project, relaxed with GGA-PBE; Cu Kα (λ = 1.5418 Å)).

Largest 8 diffraction maxima, by angle, 2θ = 5–70°:
| two_theta | I/Imax |
| --- | --- |
| 30.54 | 70 |
| 34.73 | 27 |
| 40.32 | 54 |
| 42.05 | 100 |
| 46.93 | 35 |
| 59.68 | 32 |
| 63.56 | 27 |
| 67.28 | 24 |

Cell and atoms:
a = 5.1661 Å, b = 5.1661 Å, c = 3.8714 Å
α = 90.00°, β = 90.00°, γ = 120.00°
Positions (direct):
1 La 0.0000 0.0000 0.0000
2 Al 0.3333 0.6667 0.0000
3 Ni 0.5019 0.0037 0.5000
4 Ni 0.5019 0.4981 0.5000
5 Ni 0.6667 0.3333 0.0000
6 Ni 0.9963 0.4981 0.5000